Diffraction record for ZrFeCo5. The X-ray diffraction stick pattern is simulated, not measured: it uses the GGA-PBE geometry in Alexandria and Cu Kα.

Structural model:
```
data_ZrFeCo5
_cell_length_a 7.727
_cell_length_b 4.685
_cell_length_c 9.774
_cell_angle_alpha 90.00
_cell_angle_beta 90.00
_cell_angle_gamma 90.00
_space_group_name_H-M_alt 'P n m a'
_space_group_IT_number 62
loop_
_space_group_symop_operation_xyz
'x,y,z'
'-x,-y,-z'
'-x+1/2,-y,z+1/2'
'x+1/2,y,-z+1/2'
'x+1/2,-y+1/2,-z+1/2'
'-x+1/2,y+1/2,z+1/2'
'-x,y+1/2,-z'
'x,-y+1/2,z'
loop_
_atom_site_label
_atom_site_fract_x
_atom_site_fract_y
_atom_site_fract_z
Zr1 0.242 0.250 0.060
Fe1 0.137 0.750 0.853
Co1 0.055 0.750 0.086
Co2 0.069 0.008 0.310
Co3 0.099 0.250 0.520
Co4 0.187 0.250 0.751
```

Largest 6 diffraction maxima, in order of rising 2θ, 10° ≤ 2θ ≤ 90°:
38.6 deg, rel. 31, (1 0 4)
41.0 deg, rel. 100, (3 1 1)
46.3 deg, rel. 22, (2 2 1)
48.0 deg, rel. 33, (4 0 1)
48.2 deg, rel. 22, (2 1 4)
49.3 deg, rel. 24, (1 2 3)